Tl4Pt: theoretical powder X-ray diffraction pattern (copper Kα), based on a PBE-relaxed structure.
No peak broadening, texture or thermal motion is included.

The 10 most intense peaks (2θ = 5–70°), low angle first:
| d/Å | intensity |
| --- | --- |
| 3.199 | 11 |
| 2.861 | 56 |
| 2.580 | 100 |
| 2.262 | 10 |
| 2.023 | 16 |
| 2.008 | 12 |
| 1.835 | 12 |
| 1.592 | 24 |
| 1.552 | 11 |
| 1.445 | 15 |

Atomic structure:
a = 6.6137 Å, b = 6.6137 Å, c = 6.6137 Å
α = 93.67°, β = 93.67°, γ = 150.67°
Fractional positions:
Tl  0.0679  0.7359  0.8038
Tl  0.2641  0.0679  0.3320
Tl  0.7359  0.9321  0.6680
Tl  0.9321  0.2641  0.1962
Pt  0.5000  0.5000  0.0000